Calculated powder X-ray diffraction pattern of K2SrTi3O8 for Cu Kα (weighted mean of Kα1 and Kα2), from a DFT-relaxed cell (PBE, Alexandria).
Kinematic intensities with the Lorentz-polarization factor, no thermal factor.

```
14
Lattice="3.098 1.788 6.131 -3.098 1.788 6.131 0.000 -3.577 6.131" Properties=species:S:1:pos:R:3 pbc="T T T"
K 0.000 0.000 0.000
K 0.000 0.000 6.779
Sr 0.000 0.000 13.790
Ti 0.000 -1.808 9.879
Ti -1.566 0.904 9.879
Ti 1.566 0.904 9.878
O 0.000 -1.570 4.697
O -1.360 0.785 4.697
O 0.000 0.000 2.619
O -1.371 -0.792 8.839
O 1.360 0.785 4.697
O 0.000 0.000 11.020
O 1.371 -0.792 8.839
O 0.000 1.584 8.839
```

Main lines, in order of rising 2θ (2θ = 10–80°):
Position (°2θ), intensity
14.45, 35
25.51, 58
28.82, 33
29.44, 55
32.38, 100
33.77, 40
48.50, 39
51.46, 29
52.41, 38
59.70, 38